1.
# Pr3Tm2Th2
Simulated powder XRD pattern, Cu Kα. Input: a structure optimized by DFT (PBE).
Peak positions follow from Bragg's law for the DFT cell and can differ from measured ones.

Largest 6 diffraction maxima, in order of rising 2θ, 2θ = 5–70°:
two_theta, I_rel
30.24, 100
30.61, 58
32.01, 44
34.05, 25
35.65, 23
62.20, 26

Cell and atoms:
a = 5.5928 Å, b = 3.4583 Å, c = 12.4987 Å
α = 90.00°, β = 102.92°, γ = 90.00°
Space group P2/m (No. 10)
Unique sites:
Pr: 0.0000 0.0000 0.0000
Pr: 0.2905 0.0000 0.5826
Tm: 0.4258 0.5000 0.8506
Th: 0.1396 0.0000 0.2803

=====

2.
# Pm4SiGeN
Simulated powder XRD pattern, Cu Kα. Input: a structure optimized by DFT (PBE).
Peak positions follow from Bragg's law for the DFT cell and can differ from measured ones.

Largest 6 diffraction maxima, in order of rising 2θ, 2θ = 5–70°:
two_theta, I_rel
25.34, 24
28.89, 100
34.36, 48
35.19, 73
37.82, 59
52.03, 49

Cell and atoms:
a = 6.7282 Å, b = 15.6450 Å, c = 6.7280 Å
α = 90.00°, β = 90.00°, γ = 90.00°
Space group Cmcm (No. 63)
Unique sites:
Pm: 0.0000 0.0788 0.2500
Pm: 0.0000 0.4194 0.2500
Pm: 0.2500 0.2500 0.0000
Si: 0.0000 0.1134 0.7500
Ge: 0.0000 0.3877 0.7500
N: 0.0000 0.2528 0.2500

=====

3.
# Li5Ga3
Simulated powder XRD pattern, Cu Kα. Input: a structure optimized by DFT (PBE).
Peak positions follow from Bragg's law for the DFT cell and can differ from measured ones.

Largest 6 diffraction maxima, in order of rising 2θ, 2θ = 5–70°:
two_theta, I_rel
16.83, 34
26.75, 66
29.34, 74
40.13, 100
41.98, 43
50.48, 32

Cell and atoms:
a = 8.6077 Å, b = 6.6625 Å, c = 8.6116 Å
α = 90.00°, β = 90.00°, γ = 90.00°
Space group Cmcm (No. 63)
Unique sites:
Li: 0.0000 0.0008 0.2500
Li: 0.0000 0.2504 0.9997
Li: 0.2503 0.2500 0.2500
Ga: 0.0000 0.4995 0.2500
Ga: 0.2469 0.5000 0.0000

=====

4.
# LiPa4TlN8
Simulated powder XRD pattern, Cu Kα. Input: a structure optimized by DFT (PBE).
Peak positions follow from Bragg's law for the DFT cell and can differ from measured ones.

Largest 6 diffraction maxima, in order of rising 2θ, 2θ = 5–70°:
two_theta, I_rel
17.98, 32
28.09, 39
29.46, 100
30.88, 30
31.30, 39
51.07, 32

Cell and atoms:
a = 7.1538 Å, b = 7.1538 Å, c = 14.7978 Å
α = 90.00°, β = 90.00°, γ = 120.00°
Space group R3m (No. 160, hexagonal axes)
Unique sites:
Li: 0.0000 0.0000 0.0000
Pa: 0.0000 0.0000 0.5988
Pa: 0.0028 0.5014 0.5061
Tl: 0.0000 0.0000 0.3851
N: 0.0000 0.0000 0.2404
N: 0.0000 0.0000 0.7577
N: 0.0003 0.5002 0.7849
N: 0.1798 0.3597 0.5886